Entry 1:
The following is a simulated X-ray diffraction stick pattern of K3VS2O2. It was derived from a structure optimized by DFT (PBE+U), using Cu Kα.
Neutral-atom scattering factors, no anomalous dispersion.

Structure:
Unit cell a=10.7064 b=7.3983 c=11.8292 alpha=90.00 beta=121.83 gamma=90.00
Fractional coordinates of all 32 atoms:
K 0.0158 0.1355 0.3397
K 0.0158 0.3645 0.8397
K 0.2690 0.2247 0.2065
K 0.2690 0.2753 0.7065
K 0.4367 0.7411 0.3825
K 0.4367 0.7589 0.8825
K 0.5633 0.2411 0.1175
K 0.5633 0.2589 0.6175
K 0.7310 0.7247 0.2935
K 0.7310 0.7753 0.7935
K 0.9842 0.6355 0.1603
K 0.9842 0.8645 0.6603
V 0.1933 0.6991 0.5283
V 0.1933 0.8009 0.0283
V 0.8067 0.1991 0.9717
V 0.8067 0.3009 0.4717
S 0.2504 0.0346 0.9431
S 0.2504 0.4654 0.4431
S 0.3606 0.5807 0.0911
S 0.3606 0.9193 0.5911
S 0.6394 0.0807 0.4089
S 0.6394 0.4193 0.9089
S 0.7496 0.5346 0.5569
S 0.7496 0.9654 0.0569
O 0.0246 0.7158 0.9146
O 0.0246 0.7842 0.4146
O 0.1951 0.6297 0.6662
O 0.1951 0.8703 0.1662
O 0.8049 0.1297 0.8338
O 0.8049 0.3703 0.3338
O 0.9754 0.2158 0.5854
O 0.9754 0.2842 0.0854

Main lines, most intense first (15 to 90 degrees two-theta):
- 2θ 32.6, I 100
- 2θ 27.2, I 98
- 2θ 35.0, I 64
- 2θ 30.3, I 52
- 2θ 28.2, I 44
- 2θ 29.4, I 39
- 2θ 25.1, I 37
- 2θ 24.1, I 37
- 2θ 15.4, I 35
- 2θ 40.8, I 33

---

Entry 2:
The following is a simulated X-ray diffraction stick pattern of K3VS2O10. It was derived from a structure optimized by DFT (PBE+U), using Cu Kα.
Neutral-atom scattering factors, no anomalous dispersion.

Structure:
Unit cell a=7.5345 b=7.3952 c=10.2328 alpha=90.00 beta=103.74 gamma=90.00
Fractional coordinates of all 32 atoms:
K 0.0130 0.0000 0.2302
K 0.2902 0.5736 0.4510
K 0.4181 0.2693 0.0893
K 0.5819 0.7693 0.9107
K 0.7098 0.0736 0.5490
K 0.9870 0.5000 0.7698
V 0.2462 0.0017 0.6468
V 0.7538 0.5017 0.3532
S 0.0491 0.9730 0.8435
S 0.4633 0.3090 0.7537
S 0.5367 0.8090 0.2463
S 0.9509 0.4730 0.1565
O 0.0523 0.1379 0.7572
O 0.0805 0.9714 0.5098
O 0.1182 0.0107 0.9864
O 0.1292 0.3832 0.1899
O 0.1871 0.8493 0.7929
O 0.3278 0.2476 0.6192
O 0.3664 0.8599 0.2818
O 0.3772 0.4606 0.8086
O 0.4193 0.8699 0.6304
O 0.4781 0.1456 0.8407
O 0.5219 0.6456 0.1593
O 0.5807 0.3699 0.3696
O 0.6228 0.9606 0.1914
O 0.6336 0.3599 0.7182
O 0.6722 0.7476 0.3808
O 0.8129 0.3493 0.2071
O 0.8708 0.8832 0.8101
O 0.8818 0.5107 0.0136
O 0.9195 0.4714 0.4902
O 0.9477 0.6379 0.2428

Main lines, most intense first (15 to 90 degrees two-theta):
- 2θ 27.0, I 100
- 2θ 17.8, I 64
- 2θ 29.5, I 59
- 2θ 29.4, I 57
- 2θ 20.6, I 47
- 2θ 23.9, I 38
- 2θ 29.3, I 38
- 2θ 21.5, I 38
- 2θ 24.1, I 37
- 2θ 17.0, I 37

---

Entry 3:
The following is a simulated X-ray diffraction stick pattern of KVS2O8. It was derived from a structure optimized by DFT (PBE+U), using Cu Kα.
Neutral-atom scattering factors, no anomalous dispersion.

Structure:
Unit cell a=8.6787 b=8.6787 c=8.6787 alpha=32.72 beta=32.72 gamma=32.72
Fractional coordinates of all 12 atoms:
K 0.0000 0.0000 0.0000
V 0.5000 0.5000 0.5000
S 0.2366 0.2366 0.2366
S 0.7634 0.7634 0.7634
O 0.0881 0.7500 0.5140
O 0.2500 0.4860 0.9119
O 0.2959 0.2959 0.2959
O 0.4860 0.9119 0.2500
O 0.5140 0.0881 0.7500
O 0.7041 0.7041 0.7041
O 0.7500 0.5140 0.0881
O 0.9119 0.2500 0.4860

Main lines, most intense first (15 to 90 degrees two-theta):
- 2θ 25.5, I 100
- 2θ 36.8, I 22
- 2θ 36.1, I 13
- 2θ 59.7, I 11
- 2θ 43.1, I 9
- 2θ 66.2, I 9
- 2θ 45.3, I 9
- 2θ 58.8, I 8
- 2θ 38.4, I 8
- 2θ 52.5, I 7